(1)
This entry pairs a crystal structure of Al6Co with its simulated X-ray powder pattern. Radiation: Cu Kα, 1.54184 Å. Structure: a crystal structure in Alexandria, relaxed with PBE.
Neutral-atom scattering factors, no anomalous dispersion.

Peak list (10 most intense, 5° ≤ 2θ ≤ 70°, sorted by position)
- d 4.911, I 57
- d 3.253, I 36
- d 2.494, I 24
- d 2.241, I 55
- d 2.169, I 61
- d 2.137, I 95
- d 2.091, I 55
- d 2.046, I 100
- d 2.033, I 21
- d 1.985, I 50

```
Al6Co
1.0
3.721 -3.268 0.000
3.721 3.268 0.000
0.000 0.000 8.683
Al Co
12 2
Direct
0.026 0.613 0.250
0.149 0.851 0.597
0.149 0.851 0.903
0.320 0.320 0.000
0.320 0.320 0.500
0.387 0.974 0.250
0.613 0.026 0.750
0.680 0.680 0.000
0.680 0.680 0.500
0.851 0.149 0.097
0.851 0.149 0.403
0.974 0.387 0.750
0.464 0.536 0.750
0.536 0.464 0.250
```

***

(2)
This entry pairs a crystal structure of SrH6Au2N2 with its simulated X-ray powder pattern. Radiation: Cu Kα, 1.54184 Å. Structure: a crystal structure in Alexandria, relaxed with PBE.
Neutral-atom scattering factors, no anomalous dispersion.

Peak list (10 most intense, 5° ≤ 2θ ≤ 70°, sorted by position)
- d 5.957, I 100
- d 5.475, I 13
- d 4.722, I 22
- d 2.979, I 29
- d 2.918, I 22
- d 2.874, I 42
- d 2.838, I 18
- d 2.447, I 17
- d 2.376, I 21
- d 2.370, I 15

```
SrH6Au2N2
1.0
4.758 0.000 0.000
2.362 5.690 0.000
0.298 1.686 5.957
Sr H Au N
1 6 2 2
Direct
0.000 0.000 0.000
0.034 0.252 0.451
0.228 0.579 0.415
0.294 0.774 0.519
0.706 0.226 0.481
0.772 0.421 0.585
0.966 0.748 0.549
0.317 0.359 0.067
0.683 0.641 0.933
0.130 0.752 0.435
0.870 0.248 0.565
```